This entry pairs a crystal structure of TmPu4Se5 with its simulated PXRD pattern. Radiation: copper Kα. Structure: a structure optimized by DFT (GGA-PBE).
Kinematic intensities with the Lorentz-polarization factor, no thermal factor.

```
data_TmPu4Se5
_chemical_formula_sum 'Tm2 Pu8 Se10'
_cell_length_a 4.1140
_cell_length_b 4.1140
_cell_length_c 29.1549
_cell_angle_alpha 90.00
_cell_angle_beta 90.00
_cell_angle_gamma 90.00
_symmetry_space_group_name_H-M 'I 4/m m m'
_symmetry_Int_Tables_number 139
_symmetry_space_group_name_Hall '-I 4 2'
loop_
_atom_site_label
_atom_site_type_symbol
_atom_site_fract_x
_atom_site_fract_y
_atom_site_fract_z
Tm1 Tm 0.0000 0.0000 0.0000
Pu1 Pu 0.0000 0.0000 0.1991
Pu2 Pu 0.0000 0.0000 0.4007
Se1 Se 0.0000 0.0000 0.0973
Se2 Se 0.0000 0.0000 0.2992
Se3 Se 0.0000 0.0000 0.5000
```

Most intense lines, 2θ = 10–80°, low angle first:
- 26.52 deg, rel. 41
- 30.71 deg, rel. 100
- 43.99 deg, rel. 75
- 52.10 deg, rel. 21
- 54.60 deg, rel. 27
- 70.50 deg, rel. 9
- 72.53 deg, rel. 12
- 72.66 deg, rel. 23